Theoretical XRD peak list of GaHCl3 for Cu Kα (weighted mean of Kα1 and Kα2), from a crystal structure in Alexandria, relaxed with PBE.

Crystal structure
a b c (Å): 5.5270 11.6391 7.9884
angles (deg): 90.00 90.00 90.00
Space group Imma (No. 74)
Unique sites:
Ga 0.2500 0.2500 0.2500 (multiplicity 4)
H 0.0000 0.2500 0.1267 (multiplicity 4)
Cl 0.0000 0.2500 0.4971 (multiplicity 4)
Cl 0.2500 0.0420 0.2500 (multiplicity 8)

The 10 most intense peaks (2θ from 10° to 80°), by angle:
2θ (°), I (rel.), h k l
13.44, 100.0, 0 1 1
15.22, 9.0, 0 2 0
22.26, 21.0, 0 0 2
30.73, 16.3, 0 4 0
34.55, 8.7, 0 1 3
35.22, 16.9, 2 1 1
39.66, 23.4, 2 0 2
40.36, 14.2, 0 5 1
50.99, 13.7, 2 4 2
52.67, 11.8, 2 5 1

Theoretical XRD peak list of ErCuGe2S6 for Cu Kα (weighted mean of Kα1 and Kα2), from a crystal structure in Alexandria, relaxed with PBE.

Crystal structure
a b c (Å): 12.6586 11.6020 6.6083
angles (deg): 90.00 110.11 90.00
Space group C2/c (No. 15)
Unique sites:
Er 0.0000 0.1286 0.2500 (multiplicity 4)
Cu 0.0000 0.2057 0.7500 (multiplicity 4)
Ge 0.1930 0.4228 0.2227 (multiplicity 8)
S 0.1156 0.0670 0.6577 (multiplicity 8)
S 0.1266 0.4269 0.4995 (multiplicity 8)
S 0.1299 0.2503 0.0826 (multiplicity 8)

The 10 most intense peaks (2θ from 10° to 80°), by angle:
2θ (°), I (rel.), h k l
10.66, 71.3, 1 1 0
22.73, 66.9, 2 2 -1
23.73, 100.0, 3 1 0
24.20, 43.2, 1 3 0
26.83, 59.9, 1 3 -1
28.60, 48.0, 2 2 1
28.77, 41.3, 0 0 2
33.84, 44.0, 4 0 -2
43.97, 34.7, 2 2 -3
51.40, 37.8, 5 3 1

Theoretical XRD peak list of La3AsRh for Cu Kα (weighted mean of Kα1 and Kα2), from a crystal structure in Alexandria, relaxed with PBE.

Crystal structure
a b c (Å): 5.4607 5.4607 5.4607
angles (deg): 90.00 90.00 90.00
Space group Pm-3m (No. 221)
Unique sites:
La 0.0000 0.0000 0.5000 (multiplicity 3)
As 0.5000 0.5000 0.5000 (multiplicity 1)
Rh 0.0000 0.0000 0.0000 (multiplicity 1)

The 10 most intense peaks (2θ from 10° to 80°), by angle:
2θ (°), I (rel.), h k l
16.23, 43.6, 1 0 0
28.31, 81.0, 1 1 1
32.80, 100.0, 2 0 0
36.80, 22.6, 2 1 0
47.07, 72.4, 2 2 0
50.12, 11.6, 3 0 0
55.84, 36.2, 3 1 1
58.56, 25.0, 2 2 2
75.96, 14.5, 3 3 1
78.30, 31.9, 4 2 0